(1)
# Ba3Cr2S6
Theoretical powder XRD pattern, a wavelength of 1.5418 Å. Input: a PBE-relaxed structure.
Neutral-atom scattering factors, no anomalous dispersion.

a b c (Å): 8.1248 8.1248 8.1248
angles (deg): 94.44 94.44 94.44
Fractional positions:
Ba 0.1343 0.7500 0.3657
Ba 0.2500 0.6343 0.8657
Ba 0.3657 0.1343 0.7500
Ba 0.6343 0.8657 0.2500
Ba 0.7500 0.3657 0.1343
Ba 0.8657 0.2500 0.6343
Cr 0.0000 0.0000 0.0000
Cr 0.2500 0.2500 0.2500
Cr 0.5000 0.5000 0.5000
Cr 0.7500 0.7500 0.7500
S 0.0180 0.9083 0.7097
S 0.0917 0.2903 0.9820
S 0.2097 0.4083 0.5180
S 0.2903 0.9820 0.0917
S 0.4083 0.5180 0.2097
S 0.4820 0.7903 0.5917
S 0.5180 0.2097 0.4083
S 0.5917 0.4820 0.7903
S 0.7097 0.0180 0.9083
S 0.7903 0.5917 0.4820
S 0.9083 0.7097 0.0180
S 0.9820 0.0917 0.2903

Peak list (10 most intense, 10° ≤ 2θ ≤ 80°, sorted by position)
- 25.5 deg, I 100
- 25.9 deg, I 68
- 32.0 deg, I 72
- 32.7 deg, I 23
- 34.2 deg, I 27
- 36.6 deg, I 61
- 40.5 deg, I 21
- 41.9 deg, I 26
- 47.6 deg, I 34
- 70.1 deg, I 21

(2)
# Zn2FePt8
Theoretical powder XRD pattern, a wavelength of 1.5418 Å. Input: a PBE-relaxed structure.
Neutral-atom scattering factors, no anomalous dispersion.

a b c (Å): 7.2929 7.2929 6.2224
angles (deg): 105.68 105.68 31.56
Fractional positions:
Zn 0.2252 0.2252 0.1421
Zn 0.7748 0.7748 0.8579
Fe 0.5000 0.5000 0.5000
Pt 0.0454 0.0454 0.2277
Pt 0.1383 0.1383 0.6881
Pt 0.3205 0.3205 0.5824
Pt 0.4046 0.4046 0.0495
Pt 0.5954 0.5954 0.9505
Pt 0.6795 0.6795 0.4176
Pt 0.8617 0.8617 0.3119
Pt 0.9546 0.9546 0.7723

Peak list (10 most intense, 10° ≤ 2θ ≤ 80°, sorted by position)
- 22.5 deg, I 4
- 26.5 deg, I 4
- 26.8 deg, I 4
- 39.8 deg, I 100
- 45.7 deg, I 17
- 46.0 deg, I 17
- 47.1 deg, I 16
- 66.9 deg, I 11
- 67.8 deg, I 16
- 68.0 deg, I 5

(3)
# YPaNiIr
Theoretical powder XRD pattern, a wavelength of 1.5418 Å. Input: a PBE-relaxed structure.
Neutral-atom scattering factors, no anomalous dispersion.

a b c (Å): 4.0901 5.9148 5.9148
angles (deg): 36.49 90.00 90.00
Fractional positions:
Y 0.0000 0.0000 0.0000
Pa 0.5000 0.2659 0.2659
Ni 0.5000 0.5734 0.5734
Ir 0.0000 0.7388 0.7388

Peak list (10 most intense, 10° ≤ 2θ ≤ 80°, sorted by position)
- 15.8 deg, I 67
- 31.9 deg, I 37
- 33.6 deg, I 100
- 40.8 deg, I 76
- 44.3 deg, I 22
- 49.2 deg, I 16
- 52.6 deg, I 19
- 55.6 deg, I 16
- 59.8 deg, I 13
- 68.3 deg, I 12

(4)
# SiPOsRuC
Theoretical powder XRD pattern, a wavelength of 1.5418 Å. Input: a PBE-relaxed structure.
Neutral-atom scattering factors, no anomalous dispersion.

a b c (Å): 8.5159 8.5159 8.5159
angles (deg): 20.40 20.40 20.40
Fractional positions:
Si 0.0000 0.0000 0.0000
P 0.8255 0.8255 0.8255
Os 0.2225 0.2225 0.2225
Ru 0.0977 0.0977 0.0977
C 0.3057 0.3057 0.3057

Peak list (10 most intense, 10° ≤ 2θ ≤ 80°, sorted by position)
- 10.6 deg, I 100
- 21.3 deg, I 28
- 32.2 deg, I 35
- 34.5 deg, I 90
- 35.1 deg, I 41
- 38.9 deg, I 24
- 42.9 deg, I 42
- 45.2 deg, I 52
- 50.5 deg, I 28
- 61.5 deg, I 28